Structure and simulated X-ray powder pattern of Si4Mo2P4O23 (DFT lattice parameters and positions (PBE+U); λ = 1.5418 Å (Cu Kα)).

Principal peaks in the range 5 to 70 degrees two-theta, in order of rising 2θ:
d 11.065, I 212, (0 0 1)
d 7.125, I 214, (0 1 1)
d 4.949, I 389, (0 1 2)
d 4.208, I 89, (1 1 2)
d 4.093, I 1000, (0 2 0)
d 4.047, I 525, (1 0 2)
d 3.437, I 108, (1 0 -2)
d 3.370, I 93, (1 1 3)
d 3.239, I 164, (1 2 -1)
d 2.760, I 165, (1 0 -3)
d 2.642, I 199, (2 1 1)
d 2.611, I 88, (0 3 2)

```
data_Si4Mo2P4O23
_chemical_formula_sum 'Si4 Mo2 P4 O23'
_space_group_name_H-M_alt 'P -1'
_space_group_IT_number 2
_space_group_name_Hall '-P 1'
_cell_length_a 5.2867
_cell_length_b 8.6664
_cell_length_c 11.4586
_cell_angle_alpha 78.16
_cell_angle_beta 77.74
_cell_angle_gamma 72.99
loop_
_atom_site_label
_atom_site_fract_x
_atom_site_fract_y
_atom_site_fract_z
_atom_site_occupancy
Si1 0.0637 0.1885 0.2068 1
Si2 0.4359 0.6869 0.9347 1
Mo1 0.2962 0.2537 0.6397 1
P1 0.1574 0.6796 0.5593 1
P2 0.2457 0.8135 0.1749 1
O1 0.0062 0.2473 0.7964 1
O2 0.0069 0.2650 0.5436 1
O3 0.0303 0.8119 0.6486 1
O4 0.1439 0.5134 0.6315 1
O5 0.1755 0.9988 0.1837 1
O6 0.1850 0.7231 0.8652 1
O7 0.3024 0.2780 0.1563 1
O8 0.3590 0.8107 0.0363 1
O9 0.4233 0.0466 0.6569 1
O10 0.4478 0.6907 0.5138 1
O11 0.4626 0.7162 0.2483 1
O12 0.5000 0.5000 0.0000 1
```